Entry 1:
For LiAg2, a GGA-PBE-relaxed structure gives the computed X-ray powder pattern in this record (Cu Kα (weighted mean of Kα1 and Kα2)).

Top 8 peaks for 2θ = 10–80°, by angle:
2θ = 19.74°, I = 1000, (1 1 1); 2θ = 38.33°, I = 621, (3 1 1); 2θ = 40.11°, I = 682, (2 2 2); 2θ = 46.65°, I = 310, (4 0 0); 2θ = 51.12°, I = 228, (3 3 1); 2θ = 61.91°, I = 189, (5 1 1); 2θ = 68.11°, I = 207, (4 4 0); 2θ = 71.69°, I = 159, (5 3 1)

Unit cell a=7.788 b=7.788 c=7.788 alpha=90.00 beta=90.00 gamma=90.00
Space group Fd-3m (No. 227, origin choice 2)
Inequivalent atoms, fractional coordinates:
Li1 0.125 0.125 0.125 (multiplicity 8)
Ag1 0.000 0.000 0.500 (multiplicity 16)

Entry 2:
For NiHgBiPd, a GGA-PBE-relaxed structure gives the computed X-ray powder pattern in this record (Cu Kα (weighted mean of Kα1 and Kα2)).

Top 8 peaks for 2θ = 10–80°, by angle:
2θ = 22.85°, I = 188, (1 1 1); 2θ = 26.44°, I = 9, (2 0 0); 2θ = 37.74°, I = 1000, (2 2 0); 2θ = 44.58°, I = 108, (3 1 1); 2θ = 54.44°, I = 174, (4 0 0); 2θ = 59.80°, I = 48, (3 3 1); 2θ = 68.15°, I = 356, (4 2 2); 2θ = 72.92°, I = 37, (5 1 1)

Unit cell a=6.741 b=6.741 c=6.741 alpha=90.00 beta=90.00 gamma=90.00
Space group F-43m (No. 216)
Inequivalent atoms, fractional coordinates:
Ni1 0.000 0.000 0.000 (multiplicity 4)
Hg1 0.000 0.000 0.500 (multiplicity 4)
Bi1 0.250 0.250 0.750 (multiplicity 4)
Pd1 0.250 0.250 0.250 (multiplicity 4)

Entry 3:
For Nd3Si4Pd2Au2, a GGA-PBE-relaxed structure gives the computed X-ray powder pattern in this record (Cu Kα (weighted mean of Kα1 and Kα2)).

Top 8 peaks for 2θ = 10–80°, by angle:
2θ = 28.70°, I = 133, (0 0 8); 2θ = 32.86°, I = 232, (1 0 7); 2θ = 33.06°, I = 1000, (1 1 4); 2θ = 42.33°, I = 184, (0 2 0); 2θ = 42.62°, I = 180, (2 0 0); 2θ = 45.39°, I = 120, (0 1 11); 2θ = 61.63°, I = 121, (2 2 0); 2θ = 67.83°, I = 108, (1 1 16)

Unit cell a=4.243 b=4.271 c=24.880 alpha=90.00 beta=90.00 gamma=90.00
Space group Immm (No. 71)
Inequivalent atoms, fractional coordinates:
Nd1 0.000 0.000 0.000 (multiplicity 2)
Nd2 0.000 0.500 0.146 (multiplicity 4)
Si1 0.000 0.000 0.452 (multiplicity 4)
Si2 0.000 0.500 0.310 (multiplicity 4)
Pd1 0.000 0.500 0.406 (multiplicity 4)
Au1 0.000 0.000 0.249 (multiplicity 4)

Entry 4:
For Tl10Hg3Cl16, a GGA-PBE-relaxed structure gives the computed X-ray powder pattern in this record (Cu Kα (weighted mean of Kα1 and Kα2)).

Top 8 peaks for 2θ = 10–80°, by angle:
2θ = 22.10°, I = 690, (0 0 6); 2θ = 23.58°, I = 658, (2 1 1); 2θ = 25.56°, I = 441, (2 0 4); 2θ = 29.84°, I = 1000, (2 1 5); 2θ = 33.18°, I = 537, (1 3 0); 2θ = 45.06°, I = 368, (0 0 12); 2θ = 47.62°, I = 271, (4 2 0); 2θ = 47.82°, I = 298, (2 1 11)

Unit cell a=8.541 b=8.541 c=24.117 alpha=90.00 beta=90.00 gamma=90.00
Space group I4/m (No. 87)
Inequivalent atoms, fractional coordinates:
Tl1 0.000 0.000 0.237 (multiplicity 4)
Tl2 0.135 0.329 0.089 (multiplicity 16)
Hg1 0.000 0.000 0.500 (multiplicity 2)
Hg2 0.000 0.500 0.250 (multiplicity 4)
Cl1 0.000 0.000 0.104 (multiplicity 4)
Cl2 0.000 0.000 0.401 (multiplicity 4)
Cl3 0.149 0.329 0.500 (multiplicity 8)
Cl4 0.161 0.330 0.315 (multiplicity 16)